1.
For Li4Nb3Fe3Ni2O16, a GGA+U-relaxed structure gives the computed powder diffraction line list in this record (Cu Kα).
Kinematic intensities with the Lorentz-polarization factor, no thermal factor.

The 6 most intense peaks (10 to 90 degrees two-theta), by angle:
2θ = 18.07°, intensity 89.8; 2θ = 19.06°, intensity 100.0; 2θ = 34.57°, intensity 38.7; 2θ = 35.16°, intensity 64.6; 2θ = 43.96°, intensity 35.9; 2θ = 60.71°, intensity 43.3

Atomic structure:
```
28
Lattice="5.282 -3.052 0.000 5.282 3.052 0.000 -0.061 0.000 9.816" Properties=species:S:1:pos:R:3 pbc="T T T"
Li 0.000 0.000 0.000
Li 0.030 0.000 5.057
Li 3.604 0.000 4.016
Li 7.086 0.000 8.676
Nb 1.889 0.000 7.100
Nb 6.304 1.509 2.187
Nb 6.304 -1.509 2.187
Fe 4.479 1.500 7.112
Fe 4.479 -1.500 7.112
Fe 8.912 0.000 2.217
Ni 3.664 0.000 9.661
Ni 7.216 0.000 5.111
O 0.110 0.000 8.062
O 0.153 0.000 3.231
O 2.784 1.347 8.316
O 1.786 0.000 1.105
O 4.594 1.607 1.141
O 6.280 1.597 5.993
O 3.577 0.000 5.978
O 2.784 -1.347 8.316
O 5.163 0.000 8.273
O 5.543 0.000 3.298
O 7.921 1.374 3.315
O 7.107 0.000 1.066
O 4.594 -1.607 1.141
O 8.986 0.000 6.036
O 6.280 -1.597 5.993
O 7.921 -1.374 3.315
```

***

2.
For Li4Nb3Fe2Ni3O16, a GGA+U-relaxed structure gives the computed powder diffraction line list in this record (Cu Kα).
Kinematic intensities with the Lorentz-polarization factor, no thermal factor.

The 6 most intense peaks (10 to 90 degrees two-theta), by angle:
2θ = 18.21°, intensity 100.0; 2θ = 18.99°, intensity 54.6; 2θ = 19.33°, intensity 28.0; 2θ = 35.25°, intensity 31.7; 2θ = 35.60°, intensity 49.2; 2θ = 61.22°, intensity 30.0

Atomic structure:
```
28
Lattice="6.052 0.000 0.000 -3.016 5.257 0.000 -0.063 -0.282 9.745" Properties=species:S:1:pos:R:3 pbc="T T T"
Li 0.000 0.000 0.000
Li -0.038 0.076 5.047
Li -0.044 3.653 4.077
Li 2.928 1.758 8.753
Nb -0.032 1.897 7.130
Nb 1.508 1.113 2.239
Nb 4.516 1.116 2.218
Fe -0.089 3.677 9.636
Fe 3.029 2.011 5.076
Ni -1.538 4.434 7.081
Ni 1.428 4.479 7.088
Ni 3.004 3.671 2.214
O -0.027 0.216 3.221
O 0.053 0.057 7.977
O -1.377 2.664 8.414
O -0.017 1.908 1.156
O -1.519 4.682 1.125
O -0.141 3.613 6.047
O 1.429 1.170 5.940
O 2.853 -0.161 8.280
O 1.258 2.760 8.398
O 1.647 2.644 3.464
O 3.007 0.328 3.366
O 3.000 1.885 1.107
O 1.488 4.699 1.092
O 4.535 1.074 5.972
O 3.069 3.697 5.995
O 4.355 2.634 3.454
```

***

3.
For Li3Nb4FeO12, a GGA+U-relaxed structure gives the computed powder diffraction line list in this record (Cu Kα).
Kinematic intensities with the Lorentz-polarization factor, no thermal factor.

The 6 most intense peaks (10 to 90 degrees two-theta), by angle:
2θ = 23.21°, intensity 100.0; 2θ = 31.86°, intensity 19.1; 2θ = 31.99°, intensity 38.3; 2θ = 34.13°, intensity 39.2; 2θ = 47.40°, intensity 17.7; 2θ = 52.02°, intensity 18.8

Atomic structure:
```
20
Lattice="5.251 0.000 0.000 0.001 5.640 0.000 0.003 0.701 7.652" Properties=species:S:1:pos:R:3 pbc="T T T"
Li 0.000 0.000 0.000
Li 5.251 0.357 3.806
Li 2.623 3.157 3.795
Nb 0.012 3.818 5.961
Nb 2.602 0.544 2.219
Nb 2.638 0.964 5.989
Nb 5.231 3.399 2.205
Fe 2.622 3.426 7.616
O 0.667 3.794 4.151
O 0.947 5.320 1.829
O 1.013 2.247 6.615
O 1.609 5.044 6.631
O 1.688 2.514 1.796
O 1.972 0.972 4.162
O 3.274 0.642 0.366
O 3.555 2.861 5.673
O 3.659 4.690 2.791
O 4.237 1.889 2.793
O 4.297 5.650 5.645
O 4.565 3.445 0.348
```

***

4.
For Li4NbFe5O12, a GGA+U-relaxed structure gives the computed powder diffraction line list in this record (Cu Kα).
Kinematic intensities with the Lorentz-polarization factor, no thermal factor.

The 6 most intense peaks (10 to 90 degrees two-theta), by angle:
2θ = 16.99°, intensity 100.0; 2θ = 34.68°, intensity 14.3; 2θ = 35.56°, intensity 18.3; 2θ = 41.93°, intensity 18.7; 2θ = 44.16°, intensity 15.9; 2θ = 60.97°, intensity 9.8

Atomic structure:
```
22
Lattice="2.635 -4.573 0.000 2.635 4.573 0.000 -1.071 0.000 10.439" Properties=species:S:1:pos:R:3 pbc="T T T"
Li 0.858 1.550 2.198
Li 0.858 -1.550 2.198
Li 3.341 1.550 8.241
Li 3.341 -1.550 8.241
Nb 2.099 0.000 5.220
Fe 0.000 0.000 0.000
Fe 2.099 3.061 5.220
Fe 2.635 1.492 0.000
Fe 2.635 -1.492 0.000
Fe 2.099 -3.061 5.220
O 1.789 2.982 1.118
O 1.239 1.517 4.160
O 0.361 0.000 6.226
O 2.409 2.982 9.321
O 1.677 0.000 1.089
O 1.239 -1.517 4.160
O 2.960 1.517 6.279
O 2.522 0.000 9.351
O 1.789 -2.982 1.118
O 3.838 0.000 4.214
O 2.960 -1.517 6.279
O 2.409 -2.982 9.321
```

***

5.
For LiNbFeO4, a GGA+U-relaxed structure gives the computed powder diffraction line list in this record (Cu Kα).
Kinematic intensities with the Lorentz-polarization factor, no thermal factor.

The 6 most intense peaks (10 to 90 degrees two-theta), by angle:
2θ = 14.09°, intensity 46.2; 2θ = 22.62°, intensity 70.0; 2θ = 25.49°, intensity 47.5; 2θ = 33.61°, intensity 100.0; 2θ = 35.05°, intensity 48.6; 2θ = 60.63°, intensity 42.0

Atomic structure:
```
28
Lattice="6.287 0.000 0.000 0.000 6.287 0.000 0.000 0.000 8.408" Properties=species:S:1:pos:R:3 pbc="T T T"
Li 0.000 1.385 0.000
Li 0.000 4.903 4.204
Li 1.385 0.000 2.102
Li 4.903 0.000 6.306
Nb 1.350 3.144 2.102
Nb 3.144 1.350 0.000
Nb 3.144 4.937 4.204
Nb 4.937 3.144 6.306
Fe 1.633 1.633 5.255
Fe 1.633 4.654 7.357
Fe 4.654 1.633 3.153
Fe 4.654 4.654 1.051
O 0.151 1.670 2.160
O 0.151 4.618 2.044
O 1.670 0.151 8.351
O 1.670 6.137 4.262
O 1.685 3.012 0.126
O 1.685 3.275 4.078
O 3.012 1.685 1.976
O 3.012 4.602 2.228
O 3.275 1.685 6.432
O 3.275 4.602 6.180
O 4.602 3.012 8.282
O 4.602 3.275 4.330
O 4.618 0.151 0.058
O 4.618 6.137 4.147
O 6.137 1.670 6.249
O 6.137 4.618 6.364
```

***

6.
For Li3Nb2Fe3O10, a GGA+U-relaxed structure gives the computed powder diffraction line list in this record (Cu Kα).
Kinematic intensities with the Lorentz-polarization factor, no thermal factor.

The 6 most intense peaks (10 to 90 degrees two-theta), by angle:
2θ = 17.52°, intensity 68.1; 2θ = 18.02°, intensity 100.0; 2θ = 34.24°, intensity 35.2; 2θ = 40.88°, intensity 46.2; 2θ = 41.57°, intensity 47.4; 2θ = 42.53°, intensity 52.7

Atomic structure:
```
18
Lattice="5.261 0.000 0.000 -1.090 5.248 0.000 -2.519 -2.021 7.392" Properties=species:S:1:pos:R:3 pbc="T T T"
Li 0.000 0.000 0.000
Li -0.200 3.297 1.480
Li 1.233 3.020 4.041
Nb -1.334 1.365 3.487
Nb 2.511 1.391 0.700
Fe -0.503 -1.078 4.917
Fe -0.709 1.899 6.563
Fe 1.963 0.459 5.794
O -2.449 2.207 5.212
O -1.525 -0.070 6.960
O -0.668 3.184 3.393
O 0.795 4.828 0.718
O 0.174 0.948 4.763
O 1.119 -1.331 6.336
O 2.128 1.998 2.464
O 3.578 3.126 0.074
O 2.965 -0.269 4.224
O 4.347 0.856 1.706
```